Starting from DFT lattice parameters and positions (GGA+U), the powder diffraction line list of BaTmW2O8 was calculated for λ = 1.5418 Å (Cu Kα).

Most intense lines, 2θ from 5° to 70°, by angle:
index	2theta	I (rel.)
0 1 1	20.83	100
1 0 2	29.46	71
1 1 0	29.78	75
0 2 2	42.39	34
2 1 2	52.66	30
1 1 4	58.21	23

Structural model:
a = 5.9998 Å, b = 5.9998 Å, c = 7.4673 Å
α = 90.00°, β = 90.00°, γ = 120.00°
Space group P-3m1 (No. 164)
Asymmetric unit:
Ba 0.0000 0.0000 0.0000
Tm 0.0000 0.0000 0.5000
W 0.3333 0.6667 0.7662
O 0.1631 0.3262 0.6908
O 0.3333 0.6667 0.0088